(1)
Starting from a crystal structure in Alexandria, relaxed with PBE, the powder XRD pattern of BaTcClO4 was calculated for Cu Kα (weighted mean of Kα1 and Kα2).
Lines closer than 0.1° are merged.

Cell and atoms:
a b c (Å): 6.9599 6.9599 7.6328
angles (deg): 101.30 101.30 73.47
Fractional coordinates of all 14 atoms:
Ba 0.2116 0.2116 0.1347
Ba 0.7884 0.7884 0.8653
Tc 0.3656 0.3656 0.7425
Tc 0.6344 0.6344 0.2575
Cl 0.0320 0.0320 0.7679
Cl 0.9680 0.9680 0.2321
O 0.1521 0.4899 0.8476
O 0.2979 0.2979 0.5127
O 0.4751 0.4751 0.2244
O 0.4899 0.1521 0.8476
O 0.5101 0.8479 0.1524
O 0.5249 0.5249 0.7756
O 0.7021 0.7021 0.4873
O 0.8479 0.5101 0.1524

Peak list (12 most intense, 2θ = 5–70°, in order of rising 2θ)
| d (Å) | 2θ (°) | intensity |
| --- | --- | --- |
| 7.401 | 11.96 | 38.4 |
| 5.408 | 16.39 | 28.4 |
| 4.163 | 21.34 | 100.0 |
| 3.932 | 22.61 | 49.6 |
| 3.700 | 24.05 | 24.6 |
| 3.455 | 25.79 | 39.7 |
| 3.308 | 26.95 | 67.9 |
| 2.859 | 31.29 | 25.0 |
| 2.798 | 31.99 | 30.2 |
| 2.766 | 32.36 | 23.6 |
| 2.241 | 40.25 | 17.9 |
| 2.200 | 41.03 | 24.8 |



(2)
Starting from a crystal structure in Alexandria, relaxed with PBE, the powder XRD pattern of VHgSbI6 was calculated for Cu Kα (weighted mean of Kα1 and Kα2).
Lines closer than 0.1° are merged.

Cell and atoms:
a b c (Å): 7.4460 7.4460 9.3497
angles (deg): 90.00 90.00 120.00
Fractional coordinates of all 9 atoms:
V 0.0000 0.0000 0.0000
Hg 0.6667 0.3333 0.5000
Sb 0.3333 0.6667 0.0000
I 0.0123 0.3077 0.1754
I 0.0123 0.7045 0.8246
I 0.2955 0.3077 0.8246
I 0.2955 0.9877 0.1754
I 0.6923 0.7045 0.1754
I 0.6923 0.9877 0.8246

Peak list (12 most intense, 2θ = 5–70°, in order of rising 2θ)
| d (Å) | 2θ (°) | intensity |
| --- | --- | --- |
| 9.350 | 9.46 | 45.4 |
| 5.308 | 16.70 | 73.3 |
| 3.459 | 25.76 | 91.6 |
| 3.117 | 28.64 | 19.9 |
| 2.912 | 30.70 | 100.0 |
| 2.358 | 38.16 | 23.7 |
| 2.241 | 40.25 | 14.3 |
| 2.149 | 42.04 | 37.4 |
| 1.980 | 45.84 | 32.1 |
| 1.769 | 51.66 | 17.8 |
| 1.729 | 52.94 | 18.0 |
| 1.671 | 54.96 | 14.3 |



(3)
Starting from a crystal structure in Alexandria, relaxed with PBE, the powder XRD pattern of Pm3Tm2Tl2 was calculated for Cu Kα (weighted mean of Kα1 and Kα2).
Lines closer than 0.1° are merged.

Cell and atoms:
a b c (Å): 9.4851 5.4865 8.6700
angles (deg): 90.00 111.50 90.00
Fractional coordinates of all 14 atoms:
Pm 0.0000 0.0000 0.0000
Pm 0.1574 0.0000 0.4719
Pm 0.3426 0.5000 0.5281
Pm 0.5000 0.5000 0.0000
Pm 0.6574 0.5000 0.4719
Pm 0.8426 0.0000 0.5281
Tm 0.0729 0.5000 0.7181
Tm 0.4271 0.0000 0.2819
Tm 0.5729 0.0000 0.7181
Tm 0.9271 0.5000 0.2819
Tl 0.2128 0.5000 0.1388
Tl 0.2872 0.0000 0.8612
Tl 0.7128 0.0000 0.1388
Tl 0.7872 0.5000 0.8612

Peak list (12 most intense, 2θ = 5–70°, in order of rising 2θ)
| d (Å) | 2θ (°) | intensity |
| --- | --- | --- |
| 2.795 | 32.03 | 95.1 |
| 2.741 | 32.67 | 100.0 |
| 2.551 | 35.18 | 4.5 |
| 1.958 | 46.37 | 23.0 |
| 1.954 | 46.48 | 11.4 |
| 1.919 | 47.36 | 3.6 |
| 1.624 | 56.67 | 15.8 |
| 1.593 | 57.91 | 35.7 |
| 1.582 | 58.31 | 19.4 |
| 1.397 | 66.97 | 8.6 |
| 1.372 | 68.39 | 4.0 |
| 1.370 | 68.50 | 8.0 |



(4)
Starting from a crystal structure in Alexandria, relaxed with PBE, the powder XRD pattern of Ho6CuBi2 was calculated for Cu Kα (weighted mean of Kα1 and Kα2).
Lines closer than 0.1° are merged.

Cell and atoms:
a b c (Å): 6.3998 7.9806 11.9686
angles (deg): 90.00 122.02 90.00
Fractional coordinates of all 18 atoms:
Ho 0.0885 0.1999 0.4605
Ho 0.0885 0.3001 0.9605
Ho 0.3309 0.6719 0.4618
Ho 0.3309 0.8281 0.9618
Ho 0.3832 0.0286 0.2442
Ho 0.3832 0.4714 0.7442
Ho 0.6168 0.5286 0.2558
Ho 0.6168 0.9714 0.7558
Ho 0.6691 0.1719 0.0382
Ho 0.6691 0.3281 0.5382
Ho 0.9115 0.6999 0.0395
Ho 0.9115 0.8001 0.5395
Cu 0.5000 0.0000 0.5000
Cu 0.5000 0.5000 0.0000
Bi 0.1357 0.1132 0.7420
Bi 0.1357 0.3868 0.2420
Bi 0.8643 0.6132 0.7580
Bi 0.8643 0.8868 0.2580

Peak list (12 most intense, 2θ = 5–70°, in order of rising 2θ)
| d (Å) | 2θ (°) | intensity |
| --- | --- | --- |
| 3.214 | 27.76 | 26.0 |
| 3.137 | 28.46 | 64.6 |
| 2.851 | 31.37 | 100.0 |
| 2.817 | 31.76 | 84.0 |
| 2.795 | 32.02 | 30.2 |
| 2.580 | 34.77 | 30.1 |
| 2.569 | 34.93 | 42.9 |
| 2.558 | 35.09 | 42.1 |
| 2.537 | 35.38 | 52.3 |
| 2.456 | 36.58 | 48.2 |
| 1.766 | 51.77 | 28.2 |
| 1.762 | 51.89 | 26.0 |



(5)
Starting from a crystal structure in Alexandria, relaxed with PBE, the powder XRD pattern of Sm3Hg2Rh was calculated for Cu Kα (weighted mean of Kα1 and Kα2).
Lines closer than 0.1° are merged.

Cell and atoms:
a b c (Å): 15.1491 5.9306 3.9090
angles (deg): 90.00 104.89 90.00
Fractional coordinates of all 12 atoms:
Sm 0.0000 0.0000 0.0000
Sm 0.1338 0.5000 0.6329
Sm 0.3662 0.0000 0.3671
Sm 0.5000 0.5000 0.0000
Sm 0.6338 0.0000 0.6329
Sm 0.8662 0.5000 0.3671
Hg 0.1901 0.0000 0.6921
Hg 0.3099 0.5000 0.3079
Hg 0.6901 0.5000 0.6921
Hg 0.8099 0.0000 0.3079
Rh 0.0000 0.5000 0.0000
Rh 0.5000 0.0000 0.0000

Peak list (12 most intense, 2θ = 5–70°, in order of rising 2θ)
| d (Å) | 2θ (°) | intensity |
| --- | --- | --- |
| 3.051 | 29.27 | 100.0 |
| 2.981 | 29.98 | 23.1 |
| 2.965 | 30.14 | 57.1 |
| 2.625 | 34.15 | 29.4 |
| 2.438 | 36.86 | 24.5 |
| 2.126 | 42.51 | 73.3 |
| 1.955 | 46.46 | 18.5 |
| 1.884 | 48.30 | 12.6 |
| 1.632 | 56.38 | 19.7 |
| 1.596 | 57.76 | 20.6 |
| 1.568 | 58.91 | 13.5 |
| 1.356 | 69.27 | 8.6 |



(6)
Starting from a crystal structure in Alexandria, relaxed with PBE, the powder XRD pattern of K2Cu2Br5 was calculated for Cu Kα (weighted mean of Kα1 and Kα2).
Lines closer than 0.1° are merged.

Cell and atoms:
a b c (Å): 12.0604 12.0604 12.0604
angles (deg): 49.24 145.68 145.80
Fractional coordinates of all 18 atoms:
K 0.0070 0.1105 0.1174
K 0.0070 0.3895 0.3965
K 0.9930 0.6105 0.6035
K 0.9930 0.8895 0.8826
Cu 0.3757 0.7083 0.1675
Cu 0.5050 0.0050 0.5000
Cu 0.5050 0.5050 0.0000
Cu 0.5408 0.2083 0.8325
Br 0.0047 0.2559 0.7531
Br 0.0047 0.7517 0.2489
Br 0.0071 0.3577 0.1494
Br 0.2084 0.8577 0.8506
Br 0.4973 0.1644 0.6262
Br 0.4973 0.3711 0.8329
Br 0.5028 0.2517 0.2469
Br 0.5028 0.7559 0.7511
Br 0.5382 0.6644 0.1671
Br 0.5382 0.8711 0.3738

Peak list (12 most intense, 2θ = 5–70°, in order of rising 2θ)
| d (Å) | 2θ (°) | intensity |
| --- | --- | --- |
| 5.482 | 16.17 | 38.1 |
| 5.024 | 17.65 | 57.1 |
| 3.552 | 25.07 | 50.0 |
| 3.379 | 26.38 | 67.5 |
| 2.982 | 29.97 | 71.9 |
| 2.955 | 30.24 | 67.6 |
| 2.741 | 32.67 | 67.7 |
| 2.512 | 35.74 | 100.0 |
| 2.070 | 43.73 | 31.8 |
| 1.866 | 48.81 | 21.8 |
| 1.852 | 49.20 | 48.4 |
| 1.524 | 60.79 | 22.8 |



(7)
Starting from a crystal structure in Alexandria, relaxed with PBE, the powder XRD pattern of La8MgAl7O24 was calculated for Cu Kα (weighted mean of Kα1 and Kα2).
Lines closer than 0.1° are merged.

Cell and atoms:
a b c (Å): 7.6567 7.6567 7.6567
angles (deg): 90.00 90.00 90.00
Fractional coordinates of all 40 atoms:
La 0.2485 0.2485 0.2485
La 0.2485 0.2485 0.7515
La 0.2485 0.7515 0.2485
La 0.2485 0.7515 0.7515
La 0.7515 0.2485 0.2485
La 0.7515 0.2485 0.7515
La 0.7515 0.7515 0.2485
La 0.7515 0.7515 0.7515
Mg 0.0000 0.0000 0.0000
Al 0.0000 0.0000 0.5000
Al 0.0000 0.5000 0.0000
Al 0.0000 0.5000 0.5000
Al 0.5000 0.0000 0.0000
Al 0.5000 0.0000 0.5000
Al 0.5000 0.5000 0.0000
Al 0.5000 0.5000 0.5000
O 0.0000 0.0000 0.2606
O 0.0000 0.0000 0.7394
O 0.0000 0.2519 0.5000
O 0.0000 0.2606 0.0000
O 0.0000 0.5000 0.2519
O 0.0000 0.5000 0.7481
O 0.0000 0.7394 0.0000
O 0.0000 0.7481 0.5000
O 0.2504 0.5000 0.5000
O 0.2519 0.0000 0.5000
O 0.2519 0.5000 0.0000
O 0.2606 0.0000 0.0000
O 0.5000 0.0000 0.2519
O 0.5000 0.0000 0.7481
O 0.5000 0.2504 0.5000
O 0.5000 0.2519 0.0000
O 0.5000 0.5000 0.2504
O 0.5000 0.5000 0.7496
O 0.5000 0.7481 0.0000
O 0.5000 0.7496 0.5000
O 0.7394 0.0000 0.0000
O 0.7481 0.0000 0.5000
O 0.7481 0.5000 0.0000
O 0.7496 0.5000 0.5000

Peak list (7 most intense, 2θ = 5–70°, in order of rising 2θ)
| d (Å) | 2θ (°) | intensity |
| --- | --- | --- |
| 3.828 | 23.23 | 47.1 |
| 2.707 | 33.09 | 100.0 |
| 2.210 | 40.83 | 43.1 |
| 1.914 | 47.50 | 36.3 |
| 1.712 | 53.52 | 21.8 |
| 1.563 | 59.11 | 39.0 |
| 1.354 | 69.44 | 21.3 |



(8)
Starting from a crystal structure in Alexandria, relaxed with PBE, the powder XRD pattern of HoScHg was calculated for Cu Kα (weighted mean of Kα1 and Kα2).
Lines closer than 0.1° are merged.

Cell and atoms:
a b c (Å): 5.0193 5.0193 6.8298
angles (deg): 90.00 90.00 120.00
Fractional coordinates of all 6 atoms:
Ho 0.0000 0.0000 0.0000
Ho 0.0000 0.0000 0.5000
Sc 0.3333 0.6667 0.2500
Sc 0.6667 0.3333 0.7500
Hg 0.3333 0.6667 0.7500
Hg 0.6667 0.3333 0.2500

Peak list (12 most intense, 2θ = 5–70°, in order of rising 2θ)
| d (Å) | 2θ (°) | intensity |
| --- | --- | --- |
| 3.667 | 24.27 | 48.1 |
| 2.685 | 33.37 | 100.0 |
| 2.510 | 35.78 | 84.8 |
| 2.071 | 43.71 | 11.0 |
| 2.017 | 44.95 | 10.2 |
| 1.834 | 49.73 | 32.6 |
| 1.707 | 53.68 | 8.8 |
| 1.597 | 57.71 | 10.0 |
| 1.572 | 58.73 | 4.8 |
| 1.481 | 62.76 | 32.4 |
| 1.449 | 64.29 | 15.4 |
| 1.412 | 66.20 | 28.2 |



(9)
Starting from a crystal structure in Alexandria, relaxed with PBE, the powder XRD pattern of Sm2Sn3HgRh4 was calculated for Cu Kα (weighted mean of Kα1 and Kα2).
Lines closer than 0.1° are merged.

Cell and atoms:
a b c (Å): 4.3852 4.3852 11.2039
angles (deg): 90.00 90.00 90.00
Fractional coordinates of all 10 atoms:
Sm 0.0000 0.5000 0.2493
Sm 0.5000 0.0000 0.7507
Sn 0.0000 0.5000 0.8723
Sn 0.5000 0.0000 0.1277
Sn 0.5000 0.5000 0.5000
Hg 0.0000 0.0000 0.5000
Rh 0.0000 0.0000 0.0000
Rh 0.0000 0.5000 0.6441
Rh 0.5000 0.0000 0.3559
Rh 0.5000 0.5000 0.0000

Peak list (12 most intense, 2θ = 5–70°, in order of rising 2θ)
| d (Å) | 2θ (°) | intensity |
| --- | --- | --- |
| 5.602 | 15.82 | 5.6 |
| 2.843 | 31.46 | 44.0 |
| 2.713 | 33.02 | 100.0 |
| 2.193 | 41.17 | 57.1 |
| 2.079 | 43.54 | 26.0 |
| 1.995 | 45.46 | 25.2 |
| 1.736 | 52.72 | 20.7 |
| 1.600 | 57.62 | 11.7 |
| 1.550 | 59.63 | 19.3 |
| 1.476 | 62.99 | 19.1 |
| 1.400 | 66.80 | 5.9 |
| 1.346 | 69.88 | 23.0 |



(10)
Starting from a crystal structure in Alexandria, relaxed with PBE, the powder XRD pattern of Co2Ni4Pt was calculated for Cu Kα (weighted mean of Kα1 and Kα2).
Lines closer than 0.1° are merged.

Cell and atoms:
a b c (Å): 4.9811 4.9811 7.4465
angles (deg): 90.00 90.00 104.97
Fractional coordinates of all 14 atoms:
Co 0.1877 0.7234 0.0000
Co 0.2766 0.8123 0.5000
Co 0.7234 0.1877 0.5000
Co 0.8123 0.2766 0.0000
Ni 0.0000 0.5000 0.2792
Ni 0.0000 0.5000 0.7208
Ni 0.2826 0.3163 0.5000
Ni 0.3163 0.2826 0.0000
Ni 0.5000 0.0000 0.2208
Ni 0.5000 0.0000 0.7792
Ni 0.6837 0.7174 0.0000
Ni 0.7174 0.6837 0.5000
Pt 0.0000 0.0000 0.2500
Pt 0.0000 0.0000 0.7500

Peak list (12 most intense, 2θ = 5–70°, in order of rising 2θ)
| d (Å) | 2θ (°) | intensity |
| --- | --- | --- |
| 4.812 | 18.44 | 49.1 |
| 2.945 | 30.35 | 51.7 |
| 2.027 | 44.71 | 27.3 |
| 2.021 | 44.85 | 100.0 |
| 1.976 | 45.94 | 26.3 |
| 1.959 | 46.35 | 15.8 |
| 1.862 | 48.93 | 21.0 |
| 1.736 | 52.74 | 8.2 |
| 1.604 | 57.45 | 6.2 |
| 1.517 | 61.10 | 6.3 |
| 1.355 | 69.36 | 12.8 |
| 1.349 | 69.68 | 9.1 |



(11)
Starting from a crystal structure in Alexandria, relaxed with PBE, the powder XRD pattern of CuSn2HgSe4 was calculated for Cu Kα (weighted mean of Kα1 and Kα2).
Lines closer than 0.1° are merged.

Cell and atoms:
a b c (Å): 7.0590 5.9563 6.9925
angles (deg): 65.50 50.16 64.34
Fractional coordinates of all 8 atoms:
Cu 0.0000 0.0000 0.0000
Sn 0.2132 0.2132 0.2868
Sn 0.7132 0.7132 0.7868
Hg 0.4545 0.4545 0.5455
Se 0.1513 0.7100 0.2900
Se 0.4032 0.9357 0.5968
Se 0.7100 0.1513 0.8487
Se 0.9357 0.4032 0.0643

Peak list (12 most intense, 2θ = 5–70°, in order of rising 2θ)
| d (Å) | 2θ (°) | intensity |
| --- | --- | --- |
| 5.262 | 16.85 | 13.0 |
| 3.399 | 26.22 | 16.7 |
| 3.173 | 28.13 | 17.6 |
| 2.977 | 30.02 | 100.0 |
| 2.812 | 31.83 | 42.4 |
| 2.133 | 42.37 | 15.5 |
| 2.078 | 43.55 | 19.2 |
| 2.044 | 44.31 | 62.3 |
| 1.798 | 50.77 | 12.0 |
| 1.700 | 53.95 | 13.8 |
| 1.671 | 54.94 | 17.5 |
| 1.489 | 62.38 | 9.7 |



(12)
Starting from a crystal structure in Alexandria, relaxed with PBE, the powder XRD pattern of SmMgZnPb was calculated for Cu Kα (weighted mean of Kα1 and Kα2).
Lines closer than 0.1° are merged.

Cell and atoms:
a b c (Å): 4.4021 4.6685 4.7232
angles (deg): 90.00 90.00 90.00
Fractional coordinates of all 4 atoms:
Sm 0.0000 0.0000 0.0000
Mg 0.0000 0.5000 0.5000
Zn 0.5000 0.0000 0.5000
Pb 0.5000 0.5000 0.0000

Peak list (12 most intense, 2θ = 5–70°, in order of rising 2θ)
| d (Å) | 2θ (°) | intensity |
| --- | --- | --- |
| 4.723 | 18.79 | 33.3 |
| 3.203 | 27.86 | 26.3 |
| 2.651 | 33.81 | 100.0 |
| 2.362 | 38.11 | 18.1 |
| 2.334 | 38.57 | 17.5 |
| 2.201 | 41.01 | 14.8 |
| 1.901 | 47.86 | 12.6 |
| 1.660 | 55.34 | 12.3 |
| 1.610 | 57.21 | 11.1 |
| 1.601 | 57.55 | 10.9 |
| 1.413 | 66.13 | 14.3 |
| 1.401 | 66.77 | 16.4 |



(13)
Starting from a crystal structure in Alexandria, relaxed with PBE, the powder XRD pattern of Cu2H4IrPd was calculated for Cu Kα (weighted mean of Kα1 and Kα2).
Lines closer than 0.1° are merged.

Cell and atoms:
a b c (Å): 5.0251 5.0192 4.1486
angles (deg): 65.68 65.53 48.79
Fractional coordinates of all 8 atoms:
Cu 0.0000 0.0000 0.5000
Cu 0.5000 0.5000 0.0000
H 0.1490 0.6041 0.8510
H 0.3703 0.8810 0.1190
H 0.6041 0.1490 0.3959
H 0.8810 0.3703 0.6297
Ir 0.2422 0.2422 0.7578
Pd 0.7590 0.7590 0.2410

Peak list (12 most intense, 2θ = 5–70°, in order of rising 2θ)
| d (Å) | 2θ (°) | intensity |
| --- | --- | --- |
| 4.076 | 21.80 | 13.2 |
| 3.697 | 24.07 | 10.9 |
| 2.939 | 30.42 | 5.9 |
| 2.928 | 30.53 | 5.8 |
| 2.381 | 37.78 | 100.0 |
| 2.074 | 43.64 | 32.7 |
| 2.038 | 44.45 | 15.1 |
| 1.849 | 49.29 | 6.4 |
| 1.674 | 54.85 | 4.5 |
| 1.469 | 63.30 | 5.4 |
| 1.464 | 63.54 | 5.4 |
| 1.454 | 64.05 | 20.4 |